Computed X-ray powder pattern of LiCr2O4 for Cu Kα (weighted mean of Kα1 and Kα2), from the GGA+U geometry in Alexandria.

```
LiCr2O4
1.0
-2.9339 2.9975 4.2037
2.9339 -2.9975 4.2037
2.9339 2.9975 -4.2037
Li Cr O
2 4 8
direct
0.0000 0.0000 0.0000 Li
0.5000 0.0000 0.5000 Li
0.0000 0.5000 0.5000 Cr
0.5000 0.0000 0.0000 Cr
0.5000 0.5000 0.0000 Cr
0.5000 0.5000 0.5000 Cr
0.2698 0.2868 0.5170 O
0.2698 0.7527 0.9830 O
0.2771 0.7411 0.5360 O
0.2949 0.2589 0.0360 O
0.7051 0.7411 0.9640 O
0.7229 0.2589 0.4640 O
0.7302 0.2473 0.0170 O
0.7302 0.7132 0.4830 O
```

Peak list (6 most intense, 2θ = 10–80°, by angle)
18.2 deg, I = 100; 18.4 deg, I = 65; 35.3 deg, I = 27; 43.0 deg, I = 33; 43.1 deg, I = 65; 62.6 deg, I = 33